# 1
Simulated X-ray diffraction stick pattern of Ac2Zn5Cd12 for Cu Kα, 1.54184 Å, from a DFT-relaxed cell (GGA-PBE, Alexandria).
Peak positions follow from Bragg's law for the DFT cell and can differ from measured ones.

Structure:
a = 7.5616 Å, b = 7.5616 Å, c = 7.5616 Å
α = 82.89°, β = 82.89°, γ = 82.89°
Fractional coordinates of all 19 atoms:
Ac  0.1687  0.1687  0.1687
Ac  0.8313  0.8313  0.8313
Zn  0.0000  0.5000  0.5000
Zn  0.4027  0.4027  0.4027
Zn  0.5000  0.0000  0.5000
Zn  0.5000  0.5000  0.0000
Zn  0.5973  0.5973  0.5973
Cd  0.1509  0.1509  0.6504
Cd  0.1509  0.6504  0.1509
Cd  0.2089  0.5000  0.7911
Cd  0.2089  0.7911  0.5000
Cd  0.3496  0.8491  0.8491
Cd  0.5000  0.2089  0.7911
Cd  0.5000  0.7911  0.2089
Cd  0.6504  0.1509  0.1509
Cd  0.7911  0.2089  0.5000
Cd  0.7911  0.5000  0.2089
Cd  0.8491  0.3496  0.8491
Cd  0.8491  0.8491  0.3496

Largest 10 diffraction maxima, sorted by position, 15 to 90 degrees two-theta:
25.50°, 3.493 Å, rel. 22
30.95°, 2.890 Å, rel. 34
32.02°, 2.795 Å, rel. 30
35.88°, 2.503 Å, rel. 48
36.13°, 2.486 Å, rel. 100
36.86°, 2.438 Å, rel. 38
40.52°, 2.226 Å, rel. 26
51.86°, 1.763 Å, rel. 19
52.39°, 1.747 Å, rel. 19
65.93°, 1.417 Å, rel. 19

# 2
Simulated X-ray diffraction stick pattern of RePt6Rh2 for Cu Kα, 1.54184 Å, from a DFT-relaxed cell (GGA-PBE, Alexandria).
Peak positions follow from Bragg's law for the DFT cell and can differ from measured ones.

Structure:
a = 4.6472 Å, b = 5.3910 Å, c = 5.9792 Å
α = 89.35°, β = 83.24°, γ = 73.55°
Fractional coordinates of all 9 atoms:
Re  0.0000  0.0000  0.0000
Pt  0.0894  0.6104  0.2879
Pt  0.2572  0.0630  0.3801
Pt  0.4007  0.2673  0.9543
Pt  0.5993  0.7327  0.0457
Pt  0.7428  0.9370  0.6199
Pt  0.9106  0.3896  0.7121
Rh  0.3081  0.6858  0.6913
Rh  0.6919  0.3142  0.3087

Largest 10 diffraction maxima, sorted by position, 15 to 90 degrees two-theta:
35.01°, 2.563 Å, rel. 38
35.21°, 2.549 Å, rel. 41
38.49°, 2.339 Å, rel. 26
38.80°, 2.321 Å, rel. 100
40.73°, 2.215 Å, rel. 81
40.92°, 2.205 Å, rel. 81
45.40°, 1.998 Å, rel. 72
45.58°, 1.990 Å, rel. 34
45.85°, 1.979 Å, rel. 36
71.84°, 1.314 Å, rel. 28

# 3
Simulated X-ray diffraction stick pattern of AcPm4Sn15 for Cu Kα, 1.54184 Å, from a DFT-relaxed cell (GGA-PBE, Alexandria).
Peak positions follow from Bragg's law for the DFT cell and can differ from measured ones.

Structure:
a = 4.7667 Å, b = 4.7667 Å, c = 24.2147 Å
α = 90.00°, β = 90.00°, γ = 90.00°
Fractional coordinates of all 20 atoms:
Ac  0.0000  0.0000  0.0000
Pm  0.0000  0.0000  0.2039
Pm  0.0000  0.0000  0.4011
Pm  0.0000  0.0000  0.5989
Pm  0.0000  0.0000  0.7961
Sn  0.0000  0.5000  0.1053
Sn  0.0000  0.5000  0.3026
Sn  0.0000  0.5000  0.5000
Sn  0.0000  0.5000  0.6974
Sn  0.0000  0.5000  0.8947
Sn  0.5000  0.0000  0.1053
Sn  0.5000  0.0000  0.3026
Sn  0.5000  0.0000  0.5000
Sn  0.5000  0.0000  0.6974
Sn  0.5000  0.0000  0.8947
Sn  0.5000  0.5000  0.0000
Sn  0.5000  0.5000  0.2038
Sn  0.5000  0.5000  0.4013
Sn  0.5000  0.5000  0.5987
Sn  0.5000  0.5000  0.7962

Largest 10 diffraction maxima, sorted by position, 15 to 90 degrees two-theta:
32.36°, 2.767 Å, rel. 100
37.13°, 2.421 Å, rel. 17
37.74°, 2.383 Å, rel. 34
53.98°, 1.699 Å, rel. 23
54.44°, 1.685 Å, rel. 12
63.94°, 1.456 Å, rel. 14
64.77°, 1.439 Å, rel. 28
67.74°, 1.383 Å, rel. 12
88.81°, 1.102 Å, rel. 12
89.56°, 1.094 Å, rel. 6